Record 1
Simulated powder diffractogram
Compound: Er3Cu4Si4
Radiation: CuKα
Structure: a PBE-relaxed structure

Structural model:
Cell lengths 7.8116, 7.8116, 7.8116 Å; angles 149.48, 130.72, 59.08 degrees
Fractional coordinates of all 11 atoms:
Er  0.0000  0.0000  0.0000
Er  0.3717  0.8717  0.5000
Er  0.6283  0.1283  0.5000
Cu  0.0230  0.3317  0.6912
Cu  0.3595  0.6683  0.6912
Cu  0.6405  0.3317  0.3088
Cu  0.9770  0.6683  0.3088
Si  0.2157  0.2157  0.0000
Si  0.3153  0.5000  0.8153
Si  0.6847  0.5000  0.1847
Si  0.7843  0.7843  0.0000

The 10 most intense peaks (2θ from 15° to 90°), in order of falling intensity:
- 2θ 35.79, I 100.0
- 2θ 36.99, I 82.1
- 2θ 46.38, I 27.5
- 2θ 44.04, I 27.2
- 2θ 65.88, I 26.5
- 2θ 23.92, I 22.1
- 2θ 28.84, I 17.8
- 2θ 22.59, I 17.4
- 2θ 39.78, I 16.5
- 2θ 61.60, I 16.2

---

Record 2
Simulated powder diffractogram
Compound: Cs
Radiation: CuKα
Structure: a PBE-relaxed structure

Structural model:
Cell lengths 10.4518, 10.4518, 8.5896 Å; angles 90.00, 90.00, 90.00 degrees
Fractional coordinates of all 8 atoms:
Cs  0.0617  0.2459  0.0000
Cs  0.2459  0.9383  0.5000
Cs  0.2541  0.4383  0.5000
Cs  0.4383  0.7459  0.0000
Cs  0.5617  0.2541  0.0000
Cs  0.7459  0.5617  0.5000
Cs  0.7541  0.0617  0.5000
Cs  0.9383  0.7541  0.0000

The 10 most intense peaks (2θ from 15° to 90°), in order of falling intensity:
- 2θ 19.89, I 100.0
- 2θ 20.68, I 31.1
- 2θ 21.65, I 28.8
- 2θ 35.76, I 22.3
- 2θ 24.08, I 21.9
- 2θ 31.95, I 21.1
- 2θ 18.99, I 17.6
- 2θ 28.22, I 13.3
- 2θ 36.97, I 12.8
- 2θ 41.36, I 10.8

---

Record 3
Simulated powder diffractogram
Compound: RbSeBr3
Radiation: CuKα
Structure: a PBE-relaxed structure

Structural model:
Cell lengths 5.5231, 5.5231, 5.5177 Å; angles 90.00, 90.00, 90.00 degrees
Fractional coordinates of all 5 atoms:
Rb  0.0000  0.0000  0.0000
Se  0.5000  0.5000  0.4881
Br  0.0000  0.5000  0.4876
Br  0.5000  0.0000  0.4876
Br  0.5000  0.5000  0.9879

The 10 most intense peaks (2θ from 15° to 90°), in order of falling intensity:
- 2θ 32.43, I 100.0
- 2θ 27.99, I 74.5
- 2θ 46.52, I 71.0
- 2θ 55.17, I 31.7
- 2θ 77.28, I 31.4
- 2θ 57.85, I 24.4
- 2θ 86.32, I 24.3
- 2θ 22.78, I 20.6
- 2θ 16.05, I 19.6
- 2θ 74.98, I 12.8

---

Record 4
Simulated powder diffractogram
Compound: CuTe2Cl
Radiation: CuKα
Structure: a PBE-relaxed structure

Structural model:
Cell lengths 8.2419, 5.1622, 12.4116 Å; angles 90.00, 116.72, 90.00 degrees
Fractional coordinates of all 16 atoms:
Cu  0.1699  0.1390  0.2479
Cu  0.1699  0.3610  0.7479
Cu  0.8301  0.6390  0.2521
Cu  0.8301  0.8610  0.7521
Te  0.2705  0.0225  0.6408
Te  0.2705  0.4775  0.1407
Te  0.4148  0.7031  0.8550
Te  0.4148  0.7969  0.3550
Te  0.5852  0.2031  0.6450
Te  0.5852  0.2969  0.1450
Te  0.7295  0.5225  0.8592
Te  0.7295  0.9775  0.3592
Cl  0.0849  0.1119  0.8726
Cl  0.0849  0.3881  0.3726
Cl  0.9151  0.6119  0.6274
Cl  0.9151  0.8881  0.1274

The 10 most intense peaks (2θ from 15° to 90°), in order of falling intensity:
- 2θ 29.72, I 100.0
- 2θ 15.99, I 92.1
- 2θ 27.66, I 79.9
- 2θ 29.81, I 70.5
- 2θ 42.74, I 70.1
- 2θ 23.55, I 55.5
- 2θ 30.77, I 53.3
- 2θ 18.96, I 48.8
- 2θ 32.59, I 44.4
- 2θ 24.40, I 40.8

---

Record 5
Simulated powder diffractogram
Compound: ErMgRh2
Radiation: CuKα
Structure: a PBE-relaxed structure

Structural model:
Cell lengths 6.5410, 6.5410, 6.5410 Å; angles 90.00, 90.00, 90.00 degrees
Fractional coordinates of all 16 atoms:
Er  0.0000  0.0000  0.0000
Er  0.0000  0.5000  0.5000
Er  0.5000  0.0000  0.5000
Er  0.5000  0.5000  0.0000
Mg  0.0000  0.0000  0.5000
Mg  0.0000  0.5000  0.0000
Mg  0.5000  0.0000  0.0000
Mg  0.5000  0.5000  0.5000
Rh  0.2500  0.2500  0.2500
Rh  0.2500  0.2500  0.7500
Rh  0.2500  0.7500  0.2500
Rh  0.2500  0.7500  0.7500
Rh  0.7500  0.2500  0.2500
Rh  0.7500  0.2500  0.7500
Rh  0.7500  0.7500  0.2500
Rh  0.7500  0.7500  0.7500

The 9 most intense peaks (2θ from 15° to 90°), in order of falling intensity:
- 2θ 38.95, I 100.0
- 2θ 70.53, I 34.1
- 2θ 23.56, I 29.2
- 2θ 56.26, I 17.0
- 2θ 46.02, I 15.1
- 2θ 83.63, I 10.8
- 2θ 61.83, I 6.4
- 2θ 88.42, I 5.1
- 2θ 75.53, I 4.8

---

Record 6
Simulated powder diffractogram
Compound: LiCuO2
Radiation: CuKα
Structure: a PBE-relaxed structure

Structural model:
Cell lengths 2.9685, 2.9685, 5.0904 Å; angles 90.00, 90.00, 120.00 degrees
Fractional coordinates of all 4 atoms:
Li  0.0000  0.0000  0.0000
Cu  0.3333  0.6667  0.4310
O  0.0000  0.0000  0.6288
O  0.6667  0.3333  0.2033

The 10 most intense peaks (2θ from 15° to 90°), in order of falling intensity:
- 2θ 17.42, I 100.0
- 2θ 39.26, I 75.5
- 2θ 50.46, I 45.2
- 2θ 34.90, I 25.4
- 2θ 65.96, I 18.4
- 2θ 62.58, I 17.1
- 2θ 65.51, I 14.2
- 2θ 76.43, I 8.9
- 2θ 84.43, I 8.4
- 2θ 35.26, I 6.4